Starting from a GGA-PBE-relaxed structure, the X-ray diffraction stick pattern of Li5SeO4F2 was computed for Cu Kα.
Intensities are scaled so that the largest is 100.

Structure:
```
data_Li5SeO4F2
_cell_length_a 5.831
_cell_length_b 8.903
_cell_length_c 4.868
_cell_angle_alpha 90.00
_cell_angle_beta 90.00
_cell_angle_gamma 90.00
_symmetry_space_group_name_H-M 'A m m 2'
_symmetry_Int_Tables_number 38
loop_
_symmetry_equiv_pos_as_xyz
'x,y,z'
'-x,-y,z'
'-x,y,z'
'x,-y,z'
'x,y+1/2,z+1/2'
'-x,-y+1/2,z+1/2'
'-x,y+1/2,z+1/2'
'x,-y+1/2,z+1/2'
loop_
_atom_site_label
_atom_site_type_symbol
_atom_site_fract_x
_atom_site_fract_y
_atom_site_fract_z
_atom_site_occupancy
Li1 Li 0.000 0.000 0.000 1
Li2 Li 0.249 0.186 0.504 1
Se1 Se 0.500 0.000 0.022 1
O1 O 0.264 0.000 0.252 1
O2 O 0.500 0.178 0.825 1
F1 F 0.000 0.177 0.775 1
```

Principal peaks in the range 10 to 80 degrees two-theta, in order of rising 2θ:
d (Å)	two_theta	I (rel.)	(hkl)
5.831	15.19	71	1 0 0
4.452	19.95	25	0 2 0
4.271	20.80	100	0 1 1
3.538	25.17	54	1 2 0
3.446	25.86	99	1 1 1
2.916	30.66	27	2 0 0
2.534	35.42	65	0 3 1
2.408	37.34	74	2 1 1
2.324	38.75	22	1 3 1
1.723	53.16	53	2 2 2